No. 1
Pr4HoEr15: calculated XRD peak list (Cu Kα (weighted mean of Kα1 and Kα2)), based on a DFT-relaxed cell (GGA-PBE, Alexandria).
Neutral-atom scattering factors, no anomalous dispersion.

Largest 10 diffraction maxima, by angle, 2θ from 10° to 80°:
2θ 30.87, I = 1000, hkl 1 1 5; 2θ 35.72, I = 340, hkl 2 0 0; 2θ 35.93, I = 167, hkl 0 0 10; 2θ 51.42, I = 121, hkl 2 2 0; 2θ 51.57, I = 239, hkl 2 0 10; 2θ 61.18, I = 287, hkl 3 1 5; 2θ 61.46, I = 140, hkl 1 1 15; 2θ 64.32, I = 123, hkl 2 2 10; 2θ 75.68, I = 39, hkl 4 0 0; 2θ 76.18, I = 19, hkl 0 0 20

Cell: 5.0267 5.0267 24.9944 Å, 90.00 90.00 90.00°
Space group P4/mmm (No. 123)
Asymmetric unit:
Pr (0.0000, 0.0000, 0.1005) (multiplicity 2)
Pr (0.0000, 0.0000, 0.3007) (multiplicity 2)
Ho (0.0000, 0.0000, 0.5000) (multiplicity 1)
Er (0.0000, 0.5000, 0.0000) (multiplicity 2)
Er (0.0000, 0.5000, 0.2008) (multiplicity 4)
Er (0.0000, 0.5000, 0.4019) (multiplicity 4)
Er (0.5000, 0.5000, 0.1003) (multiplicity 2)
Er (0.5000, 0.5000, 0.3014) (multiplicity 2)
Er (0.5000, 0.5000, 0.5000) (multiplicity 1)

=====

No. 2
Al4Ag3: calculated XRD peak list (Cu Kα (weighted mean of Kα1 and Kα2)), based on a DFT-relaxed cell (GGA-PBE, Alexandria).
Neutral-atom scattering factors, no anomalous dispersion.

Largest 10 diffraction maxima, by angle, 2θ from 10° to 80°:
2θ 12.38, I = 216, hkl 0 0 4; 2θ 31.23, I = 194, hkl 0 0 10; 2θ 32.47, I = 139, hkl 1 0 3; 2θ 38.23, I = 1000, hkl 1 0 7; 2θ 44.33, I = 155, hkl 0 0 14; 2θ 44.48, I = 324, hkl 1 1 0; 2θ 64.61, I = 192, hkl 1 1 14; 2θ 64.73, I = 101, hkl 2 0 0; 2θ 77.51, I = 113, hkl 1 0 21; 2θ 77.73, I = 233, hkl 2 1 7

Cell: 2.8804 2.8804 28.6073 Å, 90.00 90.00 90.00°
Space group I4mm (No. 107)
Asymmetric unit:
Al (0.0000, 0.0000, 0.0000) (multiplicity 2)
Al (0.0000, 0.0000, 0.1400) (multiplicity 2)
Al (0.0000, 0.0000, 0.2862) (multiplicity 2)
Al (0.0000, 0.0000, 0.7135) (multiplicity 2)
Ag (0.0000, 0.0000, 0.4323) (multiplicity 2)
Ag (0.0000, 0.0000, 0.5698) (multiplicity 2)
Ag (0.0000, 0.0000, 0.8538) (multiplicity 2)

=====

No. 3
SrLiIn4Ag2: calculated XRD peak list (Cu Kα (weighted mean of Kα1 and Kα2)), based on a DFT-relaxed cell (GGA-PBE, Alexandria).
Neutral-atom scattering factors, no anomalous dispersion.

Largest 10 diffraction maxima, by angle, 2θ from 10° to 80°:
2θ 17.60, I = 204, hkl 0 0 6; 2θ 26.16, I = 401, hkl 0 1 5; 2θ 32.13, I = 613, hkl 0 1 8; 2θ 37.80, I = 1000, hkl 1 1 0; 2θ 39.40, I = 393, hkl 0 1 11; 2θ 50.43, I = 167, hkl 2 0 8; 2θ 55.74, I = 137, hkl 2 0 11; 2θ 64.71, I = 157, hkl 1 2 8; 2θ 68.27, I = 206, hkl 3 0 0; 2θ 69.32, I = 138, hkl 1 2 11

Cell: 4.7603 4.7603 30.2361 Å, 90.00 90.00 120.00°
Space group R-3m (No. 166, hexagonal axes)
Asymmetric unit:
Sr (0.0000, 0.0000, 0.0000) (multiplicity 3)
Li (0.0000, 0.0000, 0.5000) (multiplicity 3)
In (0.0000, 0.0000, 0.1269) (multiplicity 6)
In (0.0000, 0.0000, 0.4007) (multiplicity 6)
Ag (0.0000, 0.0000, 0.2281) (multiplicity 6)

=====

No. 4
CdPbS2O8: calculated XRD peak list (Cu Kα (weighted mean of Kα1 and Kα2)), based on a DFT-relaxed cell (GGA-PBE, Alexandria).
Neutral-atom scattering factors, no anomalous dispersion.

Largest 10 diffraction maxima, by angle, 2θ from 10° to 80°:
2θ 22.02, I = 381, hkl 0 1 2; 2θ 26.06, I = 1000, hkl 1 0 4; 2θ 35.93, I = 382, hkl 1 1 0; 2θ 37.98, I = 115, hkl 1 1 3; 2θ 38.41, I = 305, hkl 0 1 8; 2θ 42.54, I = 119, hkl 2 0 2; 2θ 43.64, I = 319, hkl 2 -1 6; 2θ 44.92, I = 190, hkl 0 2 4; 2θ 58.81, I = 173, hkl 2 1 4; 2θ 62.25, I = 170, hkl 1 1 12

Cell: 4.9993 4.9993 22.3003 Å, 90.00 90.00 120.00°
Space group R-3 (No. 148, hexagonal axes)
Asymmetric unit:
Cd (0.0000, 0.0000, 0.0000) (multiplicity 3)
Pb (0.0000, 0.0000, 0.5000) (multiplicity 3)
S (0.0000, 0.0000, 0.2485) (multiplicity 6)
O (0.0000, 0.0000, 0.1814) (multiplicity 6)
O (0.0141, 0.7237, 0.2697) (multiplicity 18)

=====

No. 5
MnHgI3: calculated XRD peak list (Cu Kα (weighted mean of Kα1 and Kα2)), based on a DFT-relaxed cell (GGA-PBE, Alexandria).
Neutral-atom scattering factors, no anomalous dispersion.

Largest 10 diffraction maxima, by angle, 2θ from 10° to 80°:
2θ 11.51, I = 1000, hkl 0 1 1; 2θ 23.15, I = 271, hkl 0 2 2; 2θ 24.72, I = 150, hkl 0 1 5; 2θ 25.67, I = 257, hkl 1 0 2; 2θ 26.77, I = 434, hkl 0 0 6; 2θ 27.91, I = 262, hkl 0 2 4; 2θ 29.63, I = 260, hkl 1 1 3; 2θ 33.62, I = 367, hkl 1 2 2; 2θ 37.16, I = 246, hkl 1 2 4; 2θ 49.14, I = 186, hkl 1 2 8

Cell: 3.7005 8.3261 19.9689 Å, 90.00 90.00 90.00°
Space group Amm2 (No. 38)
Asymmetric unit:
Mn (0.0000, 0.0000, 0.0000) (multiplicity 2)
Hg (0.5000, 0.0000, 0.3096) (multiplicity 2)
I (0.0000, 0.0000, 0.1329) (multiplicity 2)
I (0.5000, 0.2262, 0.9660) (multiplicity 4)

=====

No. 6
LaPm4Tm2Th: calculated XRD peak list (Cu Kα (weighted mean of Kα1 and Kα2)), based on a DFT-relaxed cell (GGA-PBE, Alexandria).
Neutral-atom scattering factors, no anomalous dispersion.

Largest 10 diffraction maxima, by angle, 2θ from 10° to 80°:
2θ 30.26, I = 1000, hkl 1 1 2; 2θ 34.88, I = 172, hkl 4 0 0; 2θ 35.18, I = 335, hkl 0 2 0; 2θ 50.41, I = 182, hkl 4 2 0; 2θ 50.60, I = 120, hkl 2 2 -4; 2θ 59.64, I = 73, hkl 7 1 -2; 2θ 59.76, I = 73, hkl 5 1 2; 2θ 60.07, I = 143, hkl 3 3 -2; 2θ 60.14, I = 142, hkl 1 3 2; 2θ 62.86, I = 62, hkl 6 2 -4

Cell: 11.5009 5.0994 10.2086 Å, 90.00 116.53 90.00°
Space group C2/m (No. 12)
Asymmetric unit:
La (0.0000, 0.0000, 0.0000) (multiplicity 2)
Pm (0.2472, 0.5000, 0.6211) (multiplicity 4)
Pm (0.2479, 0.0000, 0.8706) (multiplicity 4)
Tm (0.0018, 0.5000, 0.7440) (multiplicity 4)
Th (0.0000, 0.0000, 0.5000) (multiplicity 2)

=====

No. 7
MgB9N: calculated XRD peak list (Cu Kα (weighted mean of Kα1 and Kα2)), based on a DFT-relaxed cell (GGA-PBE, Alexandria).
Neutral-atom scattering factors, no anomalous dispersion.

Largest 10 diffraction maxima, by angle, 2θ from 10° to 80°:
2θ 25.82, I = 348, hkl 1 0 4; 2θ 32.59, I = 590, hkl 1 1 0; 2θ 35.32, I = 300, hkl 1 1 3; 2θ 38.90, I = 1000, hkl 2 0 2; 2θ 40.69, I = 767, hkl 0 1 8; 2θ 49.82, I = 161, hkl 0 2 7; 2θ 51.63, I = 165, hkl 1 2 2; 2θ 68.28, I = 144, hkl 2 2 0; 2θ 70.31, I = 256, hkl 2 1 10; 2θ 72.20, I = 228, hkl 3 1 2

Cell: 5.4946 5.4946 20.0496 Å, 90.00 90.00 120.00°
Space group R-3m (No. 166, hexagonal axes)
Asymmetric unit:
Mg (0.0000, 0.0000, 0.1956) (multiplicity 6)
B (0.0206, 0.5103, 0.3494) (multiplicity 18)
B (0.1060, 0.2120, 0.5362) (multiplicity 18)
B (0.1077, 0.2154, 0.0676) (multiplicity 18)
N (0.0000, 0.0000, 0.3005) (multiplicity 6)

=====

No. 8
Pr6PdAu2: calculated XRD peak list (Cu Kα (weighted mean of Kα1 and Kα2)), based on a DFT-relaxed cell (GGA-PBE, Alexandria).
Neutral-atom scattering factors, no anomalous dispersion.

Largest 10 diffraction maxima, by angle, 2θ from 10° to 80°:
2θ 27.61, I = 437, hkl 1 2 0; 2θ 28.53, I = 420, hkl 0 2 2; 2θ 29.00, I = 678, hkl 1 0 -4; 2θ 29.41, I = 1000, hkl 2 1 -1; 2θ 29.85, I = 411, hkl 1 1 2; 2θ 31.01, I = 601, hkl 1 2 1; 2θ 31.28, I = 443, hkl 1 1 -4; 2θ 34.22, I = 668, hkl 0 2 3; 2θ 37.40, I = 458, hkl 1 3 -1; 2θ 46.00, I = 368, hkl 3 1 -5

Cell: 6.8161 7.7108 12.3323 Å, 90.00 119.76 90.00°
Space group P2_1/c (No. 14)
Asymmetric unit:
Pr (0.0968, 0.1998, 0.4330) (multiplicity 4)
Pr (0.2673, 0.6672, 0.4354) (multiplicity 4)
Pr (0.3912, 0.0381, 0.2392) (multiplicity 4)
Pd (0.5000, 0.0000, 0.5000) (multiplicity 2)
Au (0.1636, 0.1121, 0.7288) (multiplicity 4)

=====

No. 9
TmMgAg: calculated XRD peak list (Cu Kα (weighted mean of Kα1 and Kα2)), based on a DFT-relaxed cell (GGA-PBE, Alexandria).
Neutral-atom scattering factors, no anomalous dispersion.

Largest 10 diffraction maxima, by angle, 2θ from 10° to 80°:
2θ 22.99, I = 382, hkl 1 1 0; 2θ 26.61, I = 267, hkl 2 0 0; 2θ 32.24, I = 884, hkl 1 1 1; 2θ 34.98, I = 1000, hkl 2 0 1; 2θ 35.44, I = 252, hkl 2 1 0; 2θ 40.38, I = 324, hkl 3 0 0; 2θ 42.28, I = 255, hkl 2 1 1; 2θ 49.01, I = 232, hkl 3 1 0; 2θ 54.47, I = 268, hkl 3 1 1; 2θ 65.02, I = 251, hkl 3 2 1

Cell: 7.7376 7.7376 3.9867 Å, 90.00 90.00 120.00°
Space group P-62m (No. 189)
Asymmetric unit:
Tm (0.0000, 0.4121, 0.0000) (multiplicity 3)
Mg (0.0000, 0.7497, 0.5000) (multiplicity 3)
Ag (0.0000, 0.0000, 0.0000) (multiplicity 1)
Ag (0.3333, 0.6667, 0.5000) (multiplicity 2)

=====

No. 10
Cs3In2Ge4: calculated XRD peak list (Cu Kα (weighted mean of Kα1 and Kα2)), based on a DFT-relaxed cell (GGA-PBE, Alexandria).
Neutral-atom scattering factors, no anomalous dispersion.

Largest 10 diffraction maxima, by angle, 2θ from 10° to 80°:
2θ 24.47, I = 441, hkl 1 1 2; 2θ 26.47, I = 1000, hkl 0 2 2; 2θ 27.09, I = 837, hkl 1 -1 0; 2θ 27.48, I = 417, hkl 0 0 3; 2θ 28.61, I = 662, hkl 1 0 -2; 2θ 28.74, I = 676, hkl 1 2 0; 2θ 29.95, I = 291, hkl 0 2 -1; 2θ 30.45, I = 324, hkl 1 1 3; 2θ 40.82, I = 288, hkl 2 1 0; 2θ 40.94, I = 296, hkl 1 -1 3

Cell: 4.4844 7.6245 10.3813 Å, 70.03 81.00 73.25°
Space group P-1 (No. 2)
Asymmetric unit:
Cs (0.0000, 0.0000, 0.0000) (multiplicity 1)
Cs (0.3090, 0.2886, 0.6379) (multiplicity 2)
In (0.4552, 0.2856, 0.2380) (multiplicity 2)
Ge (0.0304, 0.8591, 0.6114) (multiplicity 2)
Ge (0.2911, 0.4104, 0.9662) (multiplicity 2)

=====

No. 11
Ba4SiSe6: calculated XRD peak list (Cu Kα (weighted mean of Kα1 and Kα2)), based on a DFT-relaxed cell (GGA-PBE, Alexandria).
Neutral-atom scattering factors, no anomalous dispersion.

Largest 10 diffraction maxima, by angle, 2θ from 10° to 80°:
2θ 20.02, I = 447, hkl 3 1 -1; 2θ 20.62, I = 1000, hkl 3 1 -2; 2θ 21.71, I = 579, hkl 2 0 2; 2θ 25.05, I = 484, hkl 0 2 2; 2θ 25.53, I = 656, hkl 1 1 3; 2θ 34.28, I = 514, hkl 6 0 -2; 2θ 36.30, I = 497, hkl 5 1 -5; 2θ 36.87, I = 457, hkl 3 3 -2; 2θ 37.01, I = 459, hkl 4 0 -6; 2θ 40.71, I = 506, hkl 6 2 -2

Cell: 15.7546 8.3643 14.9397 Å, 90.00 115.44 90.00°
Space group Cc (No. 9)
Asymmetric unit:
Ba (0.0000, 0.1289, 0.0000) (multiplicity 4)
Ba (0.1490, 0.3645, 0.4764) (multiplicity 4)
Ba (0.2678, 0.2077, 0.8326) (multiplicity 4)
Ba (0.4340, 0.1483, 0.1806) (multiplicity 4)
Si (0.2190, 0.2523, 0.2489) (multiplicity 4)
Se (0.0656, 0.2995, 0.2196) (multiplicity 4)
Se (0.1025, 0.2922, 0.8861) (multiplicity 4)
Se (0.2236, 0.0378, 0.1511) (multiplicity 4)
Se (0.2981, 0.4596, 0.2161) (multiplicity 4)
Se (0.2987, 0.1747, 0.4131) (multiplicity 4)
Se (0.4715, 0.2565, 0.0016) (multiplicity 4)

=====

No. 12
Ce3Sm2TmAs6: calculated XRD peak list (Cu Kα (weighted mean of Kα1 and Kα2)), based on a DFT-relaxed cell (GGA-PBE, Alexandria).
Neutral-atom scattering factors, no anomalous dispersion.

Largest 10 diffraction maxima, by angle, 2θ from 10° to 80°:
2θ 26.04, I = 185, hkl 2 0 0; 2θ 30.16, I = 1000, hkl 1 3 1; 2θ 43.18, I = 747, hkl 2 0 2; 2θ 51.12, I = 91, hkl 3 3 1; 2θ 53.57, I = 263, hkl 0 0 4; 2θ 62.71, I = 122, hkl 2 6 2; 2θ 69.06, I = 25, hkl 5 3 -1; 2θ 71.15, I = 335, hkl 3 3 3; 2θ 79.15, I = 188, hkl 5 3 1; 2θ 79.27, I = 63, hkl 1 3 5

Cell: 7.2618 12.5778 7.2522 Å, 90.00 109.52 90.00°
Space group C2/m (No. 12)
Asymmetric unit:
Ce (0.0000, 0.0000, 0.0000) (multiplicity 2)
Ce (0.0000, 0.3320, 0.0000) (multiplicity 4)
Sm (0.0000, 0.1662, 0.5000) (multiplicity 4)
Tm (0.0000, 0.5000, 0.5000) (multiplicity 2)
As (0.2446, 0.5000, 0.2503) (multiplicity 4)
As (0.2467, 0.3359, 0.7482) (multiplicity 8)

=====

No. 13
MgZr2BeAs: calculated XRD peak list (Cu Kα (weighted mean of Kα1 and Kα2)), based on a DFT-relaxed cell (GGA-PBE, Alexandria).
Neutral-atom scattering factors, no anomalous dispersion.

Largest 10 diffraction maxima, by angle, 2θ from 10° to 80°:
2θ 21.27, I = 213, hkl 0 0 1; 2θ 27.64, I = 248, hkl 1 0 1; 2θ 32.88, I = 1000, hkl 1 1 1; 2θ 35.32, I = 602, hkl 2 0 0; 2θ 41.60, I = 142, hkl 2 0 1; 2θ 43.32, I = 167, hkl 0 0 2; 2θ 50.81, I = 207, hkl 2 2 0; 2θ 57.08, I = 290, hkl 2 0 2; 2θ 61.85, I = 309, hkl 3 1 1; 2θ 68.94, I = 162, hkl 2 2 2

Cell: 5.0826 5.0826 4.1771 Å, 90.00 90.00 90.00°
Space group P4/mmm (No. 123)
Asymmetric unit:
Mg (0.0000, 0.0000, 0.0000) (multiplicity 1)
Zr (0.0000, 0.5000, 0.0000) (multiplicity 2)
Be (0.0000, 0.0000, 0.5000) (multiplicity 1)
As (0.5000, 0.5000, 0.5000) (multiplicity 1)